NbCr3Cu2S8: computed X-ray diffraction stick pattern (Cu Kα X-rays), based on a crystal structure in the Materials Project, relaxed with GGA-PBE.
Kinematic intensities with the Lorentz-polarization factor, no thermal factor.

Structural model:
```
NbCr3Cu2S8
1.0
7.0818 0.0000 0.0000
0.0000 5.7219 0.0000
0.0000 0.0000 12.0832
Nb Cr Cu S
2 6 4 16
direct
0.0000 0.2272 0.0000
0.0000 0.7728 0.5000
0.2535 0.2547 0.2557
0.2535 0.7453 0.7557
0.5000 0.2677 0.5127
0.5000 0.7323 0.0127
0.7465 0.2547 0.2557
0.7465 0.7453 0.7557
0.0000 0.1465 0.6551
0.0000 0.8535 0.1551
0.5000 0.3374 0.8455
0.5000 0.6626 0.3455
0.0000 0.0131 0.3369
0.0000 0.4666 0.1740
0.0000 0.5334 0.6740
0.0000 0.9869 0.8369
0.2460 0.4827 0.4247
0.2460 0.5173 0.9247
0.2643 0.0122 0.0873
0.2643 0.9878 0.5873
0.5000 0.0504 0.3451
0.5000 0.4914 0.1764
0.5000 0.5086 0.6764
0.5000 0.9496 0.8451
0.7357 0.0122 0.0873
0.7357 0.9878 0.5873
0.7540 0.4827 0.4247
0.7540 0.5173 0.9247
```

Principal peaks in the range 10 to 80 degrees two-theta, in order of rising 2θ:
two_theta, intensity
19.3, 36
21.3, 33
29.9, 100
30.6, 62
33.2, 29
43.3, 73
43.6, 31
51.6, 35
52.3, 63
56.9, 28


BaH4O6: computed X-ray diffraction stick pattern (Cu Kα X-rays), based on a crystal structure in the Materials Project, relaxed with GGA-PBE.
Kinematic intensities with the Lorentz-polarization factor, no thermal factor.

Structural model:
```
BaH4O6
1.0
6.1217 0.0000 0.0000
-0.4712 6.1633 0.0000
-0.3510 -0.6744 6.5889
Ba H O
2 8 12
direct
0.0000 0.0000 0.0000
0.2885 0.5927 0.4473
0.0252 0.4530 0.9143
0.1752 0.1455 0.5630
0.4715 0.7273 0.9964
0.4930 0.0575 0.2793
0.6277 0.8487 0.7187
0.7719 0.5245 0.1797
0.7894 0.8354 0.4261
0.8313 0.4703 0.6413
0.0624 0.5476 0.0655
0.1935 0.2574 0.6986
0.1962 0.0146 0.3745
0.3644 0.1519 0.2783
0.3746 0.7803 0.8705
0.5322 0.9435 0.7970
0.5988 0.6736 0.1630
0.6834 0.8854 0.2796
0.7262 0.5870 0.6062
0.8834 0.7763 0.5780
0.9076 0.4281 0.1882
0.9697 0.3194 0.7433
```

Principal peaks in the range 10 to 80 degrees two-theta, in order of rising 2θ:
two_theta, intensity
14.5, 85
18.7, 51
19.2, 49
19.7, 29
20.4, 31
20.8, 57
31.6, 100
32.8, 33
33.1, 29
42.0, 30


NaZr2ZnF11: computed X-ray diffraction stick pattern (Cu Kα X-rays), based on a crystal structure in the Materials Project, relaxed with GGA-PBE.
Kinematic intensities with the Lorentz-polarization factor, no thermal factor.

Structural model:
```
NaZr2ZnF11
1.0
4.6281 -3.4161 0.0000
4.6281 3.4161 0.0000
-3.4756 0.0000 7.0877
Na Zr Zn F
1 2 1 11
direct
0.0000 0.0000 0.0000
0.4934 0.4934 0.7634
0.5066 0.5066 0.2366
0.0000 0.0000 0.5000
0.1891 0.7786 0.6876
0.2214 0.8109 0.3124
0.2462 0.2462 0.6484
0.2682 0.2682 0.1101
0.3289 0.6711 0.0000
0.5000 0.5000 0.5000
0.6711 0.3289 0.0000
0.7318 0.7318 0.8899
0.7538 0.7538 0.3516
0.7786 0.1891 0.6876
0.8109 0.2214 0.3124
```

Principal peaks in the range 10 to 80 degrees two-theta, in order of rising 2θ:
two_theta, intensity
16.8, 28
17.9, 14
21.4, 73
26.1, 100
43.6, 21
46.0, 39
51.1, 17
51.5, 20
51.8, 10
53.6, 17


BaTi2TlO6: computed X-ray diffraction stick pattern (Cu Kα X-rays), based on a crystal structure in the Materials Project, relaxed with GGA-PBE.
Kinematic intensities with the Lorentz-polarization factor, no thermal factor.

Structural model:
```
BaTi2TlO6
1.0
3.4163 0.0000 0.0000
-0.0060 3.4544 0.0000
-0.6343 -1.6203 26.8411
Ba Ti Tl O
2 4 2 12
direct
0.0000 0.0000 0.0000
0.3688 0.3239 0.6586
0.4414 0.5611 0.1259
0.7308 0.5984 0.2318
0.7521 0.7188 0.4182
0.7928 0.7705 0.5368
0.4623 0.4408 0.8799
0.9223 0.8867 0.7763
0.0047 0.5424 0.0856
0.2192 0.5887 0.1988
0.2579 0.7317 0.4481
0.2983 0.7864 0.5714
0.4228 0.3888 0.7813
0.4953 0.4839 0.9661
0.5997 0.0678 0.1416
0.7242 0.1115 0.2601
0.7481 0.2053 0.3892
0.7783 0.2586 0.5116
0.8783 0.8388 0.6906
0.9598 0.9363 0.8707
```

Principal peaks in the range 10 to 80 degrees two-theta, in order of rising 2θ:
two_theta, intensity
26.6, 48
28.3, 73
29.1, 45
29.6, 46
29.8, 37
30.0, 100
30.7, 32
37.0, 92
47.6, 37
53.0, 31


K3Ho: computed X-ray diffraction stick pattern (Cu Kα X-rays), based on a crystal structure in the Materials Project, relaxed with GGA-PBE.
Kinematic intensities with the Lorentz-polarization factor, no thermal factor.

Structural model:
```
K3Ho
1.0
0.0000 4.8568 4.8568
4.8568 0.0000 4.8568
4.8568 4.8568 0.0000
K Ho
3 1
direct
0.0000 0.0000 0.0000
0.2500 0.2500 0.2500
0.7500 0.7500 0.7500
0.5000 0.5000 0.5000
```

Principal peaks in the range 10 to 80 degrees two-theta, in order of rising 2θ:
two_theta, intensity
15.8, 36
18.3, 20
25.9, 100
30.5, 23
37.0, 19
40.5, 11
45.8, 40
53.4, 13
60.3, 17
72.9, 19


NbRu: computed X-ray diffraction stick pattern (Cu Kα X-rays), based on a crystal structure in the Materials Project, relaxed with GGA-PBE.
Kinematic intensities with the Lorentz-polarization factor, no thermal factor.

Structural model:
```
NbRu
1.0
2.3289 -1.6371 0.0000
2.3289 1.6371 0.0000
-0.0145 0.0000 4.2371
Nb Ru
1 1
direct
0.0000 0.0000 0.0000
0.5000 0.5000 0.5000
```

Principal peaks in the range 10 to 80 degrees two-theta, in order of rising 2θ:
two_theta, intensity
38.7, 27
39.8, 100
42.7, 20
56.2, 9
58.8, 8
59.0, 8
70.3, 9
70.7, 9
70.8, 9
73.0, 8


RbMg6Mo: computed X-ray diffraction stick pattern (Cu Kα X-rays), based on a crystal structure in the Materials Project, relaxed with GGA-PBE.
Kinematic intensities with the Lorentz-polarization factor, no thermal factor.

Structural model:
```
RbMg6Mo
1.0
5.2226 0.0000 0.0000
0.0000 3.5820 5.1940
0.0000 -3.5820 5.1940
Rb Mg Mo
1 6 1
direct
0.0000 0.0000 0.0000
0.0000 0.4458 0.4458
0.0000 0.5249 0.9192
0.0000 0.9192 0.5249
0.5000 0.2381 0.2381
0.5000 0.2628 0.7132
0.5000 0.7132 0.2628
0.5000 0.7147 0.7147
```

Principal peaks in the range 10 to 80 degrees two-theta, in order of rising 2θ:
two_theta, intensity
15.0, 27
22.7, 34
24.2, 21
24.9, 13
28.6, 21
34.3, 30
34.5, 24
34.9, 100
49.5, 19
61.9, 25


KCa4B3O9: computed X-ray diffraction stick pattern (Cu Kα X-rays), based on a crystal structure in the Materials Project, relaxed with GGA-PBE.
Kinematic intensities with the Lorentz-polarization factor, no thermal factor.

Structural model:
```
KCa4B3O9
1.0
10.7292 0.0000 0.0000
0.0000 5.8279 3.2842
0.0000 -5.8279 3.2842
K Ca B O
2 8 6 18
direct
0.2500 0.0803 0.9197
0.7500 0.9197 0.0803
0.0000 0.4674 0.4674
0.0295 0.8944 0.3207
0.2500 0.5856 0.8905
0.4705 0.8944 0.3207
0.5000 0.4674 0.4674
0.5295 0.3207 0.8944
0.7500 0.8905 0.5856
0.9705 0.3207 0.8944
0.0000 0.8951 0.8951
0.2500 0.1419 0.4916
0.2500 0.5643 0.3204
0.5000 0.8951 0.8951
0.7500 0.3204 0.5643
0.7500 0.4916 0.1419
0.0000 0.1050 0.1050
0.0283 0.6891 0.8902
0.1382 0.2294 0.6149
0.1378 0.5297 0.1966
0.2500 0.6166 0.5473
0.2500 0.9638 0.2614
0.3618 0.2294 0.6149
0.3622 0.5297 0.1966
0.4717 0.6891 0.8902
0.5000 0.1050 0.1050
0.5283 0.8902 0.6891
0.6378 0.1966 0.5297
0.6382 0.6149 0.2294
0.7500 0.2614 0.9638
0.7500 0.5473 0.6166
0.8622 0.1966 0.5297
0.8618 0.6149 0.2294
0.9717 0.8902 0.6891
```

Principal peaks in the range 10 to 80 degrees two-theta, in order of rising 2θ:
two_theta, intensity
31.8, 52
32.4, 58
33.4, 100
35.0, 82
35.6, 66
43.2, 51
44.6, 41
45.4, 40
46.4, 43
57.8, 39


LiGd2Tl: computed X-ray diffraction stick pattern (Cu Kα X-rays), based on a crystal structure in the Materials Project, relaxed with GGA-PBE.
Kinematic intensities with the Lorentz-polarization factor, no thermal factor.

Structural model:
```
LiGd2Tl
1.0
0.0000 3.7899 3.7899
3.7899 0.0000 3.7899
3.7899 3.7899 0.0000
Li Gd Tl
1 2 1
direct
0.0000 0.0000 0.0000
0.2500 0.2500 0.2500
0.7500 0.7500 0.7500
0.5000 0.5000 0.5000
```

Principal peaks in the range 10 to 80 degrees two-theta, in order of rising 2θ:
two_theta, intensity
20.3, 32
23.5, 5
33.4, 100
39.4, 18
48.0, 18
52.6, 8
59.8, 38
63.8, 6
70.2, 12
74.0, 6